# 1
Diffraction record for HgPd3. The powder XRD pattern is calculated, not measured: it uses a structure optimized by DFT (PBE) and Cu Kα.
Lines closer than 0.1° are merged.

Structural model:
```
4
Lattice="4.0594 0.0000 0.0000 0.0000 4.0594 0.0000 0.0000 0.0000 4.0594" Properties=species:S:1:pos:R:3 pbc="T T T"
Hg 0.0000 0.0000 0.0000
Pd 0.0000 2.0297 2.0297
Pd 2.0297 0.0000 2.0297
Pd 2.0297 2.0297 0.0000
```

Largest 10 diffraction maxima, sorted by position, 10° ≤ 2θ ≤ 80°:
2θ (°)	d/Å	Rel. int.
21.89	4.059	9
31.16	2.870	8
38.41	2.344	100
44.64	2.030	49
50.26	1.815	5
55.44	1.657	3
64.98	1.435	32
69.46	1.353	2
73.82	1.284	2
78.08	1.224	38

# 2
Diffraction record for HgPd3. The powder XRD pattern is calculated, not measured: it uses a structure optimized by DFT (PBE) and Cu Kα.
Lines closer than 0.1° are merged.

Structural model:
```
4
Lattice="-2.0417 2.0417 4.0048 2.0417 -2.0417 4.0048 2.0417 2.0417 -4.0048" Properties=species:S:1:pos:R:3 pbc="T T T"
Hg 0.0000 0.0000 0.0000
Pd 2.0417 0.0000 2.0024
Pd 0.0000 0.0000 4.0048
Pd 0.0000 2.0417 2.0024
```

Largest 10 diffraction maxima, sorted by position, 10° ≤ 2θ ≤ 80°:
2θ (°)	d/Å	Rel. int.
22.20	4.005	3
24.47	3.638	9
38.44	2.342	100
44.37	2.042	33
45.29	2.002	16
51.32	1.780	3
64.55	1.444	11
65.27	1.430	21
77.70	1.229	25
79.02	1.212	13

# 3
Diffraction record for HgPd3. The powder XRD pattern is calculated, not measured: it uses a structure optimized by DFT (PBE) and Cu Kα.
Lines closer than 0.1° are merged.

Structural model:
```
8
Lattice="5.7462 0.0000 0.0000 -2.8731 4.9763 0.0000 0.0000 0.0000 4.6958" Properties=species:S:1:pos:R:3 pbc="T T T"
Hg 0.0000 3.3176 1.1739
Hg 2.8731 1.6588 3.5218
Pd 0.0000 1.6388 3.5218
Pd -1.4539 4.1570 3.5218
Pd 1.4192 0.8194 1.1739
Pd 1.4539 4.1570 3.5218
Pd 4.3270 0.8194 1.1739
Pd 2.8731 3.3376 1.1739
```

Largest 10 diffraction maxima, sorted by position, 10° ≤ 2θ ≤ 80°:
2θ (°)	d/Å	Rel. int.
26.09	3.415	10
31.13	2.873	4
36.10	2.488	24
38.34	2.348	27
41.05	2.199	100
53.67	1.708	15
64.91	1.437	17
71.17	1.325	21
77.97	1.225	20
79.74	1.203	15